Starting from the GGA-PBE geometry in Alexandria, the powder X-ray diffraction pattern of Ho5CdPb4 was calculated for Cu Kα X-rays.

Most intense lines, 10° ≤ 2θ ≤ 90°, most intense first:
two_theta  d (Å)  I/Imax
28.97  3.082  100
40.88  2.207  55
41.43  2.180  37
28.22  3.162  30
50.88  1.795  26
31.12  2.874  18
33.79  2.653  16
66.45  1.407  16
68.01  1.378  15
60.03  1.541  13

```
10
Lattice="-4.8737 4.8737 3.1625 4.8737 -4.8737 3.1625 4.8737 4.8737 -3.1625" Properties=species:S:1:pos:R:3 pbc="T T T"
Ho 0.0000 0.0000 0.0000
Ho 5.7830 1.8288 -1.1557
Ho 1.8288 3.9645 -1.1557
Ho 3.0449 0.9092 2.0068
Ho -0.9092 3.0449 2.0068
Cd 0.0000 0.0000 3.1671
Pb 3.8618 -2.1172 1.9862
Pb 5.8856 2.1172 1.9862
Pb 2.1172 3.8618 1.9862
Pb -2.1172 5.8856 1.9862
```

***

Starting from the GGA-PBE geometry in Alexandria, the powder X-ray diffraction pattern of BeBPb was calculated for Cu Kα X-rays.

Most intense lines, 10° ≤ 2θ ≤ 90°, most intense first:
two_theta  d (Å)  I/Imax
10.01  8.838  100
25.29  3.521  77
38.27  2.352  68
30.34  2.946  67
27.85  3.204  57
30.53  2.928  51
30.72  2.911  48
29.72  3.006  43
20.09  4.419  42
34.05  2.633  33

```
6
Lattice="3.0930 0.0000 0.0000 0.0016 3.6547 0.0000 0.0847 1.1962 8.8382" Properties=species:S:1:pos:R:3 pbc="T T T"
Be 0.7739 1.3891 0.6217
Be 2.4055 3.4618 8.2165
B 0.7749 3.2608 0.1325
B 2.4044 1.5901 8.7057
Pb 0.7892 3.1314 2.8841
Pb 2.3901 1.7195 5.9542
```

***

Starting from the GGA-PBE geometry in Alexandria, the powder X-ray diffraction pattern of Li2La2DyIn5 was calculated for Cu Kα X-rays.

Most intense lines, 10° ≤ 2θ ≤ 90°, most intense first:
two_theta  d (Å)  I/Imax
33.42  2.681  100
27.25  3.273  59
35.39  2.536  48
31.08  2.877  43
39.32  2.291  31
53.93  1.700  28
36.67  2.451  24
38.50  2.338  22
66.43  1.407  17
67.55  1.387  15

```
20
Lattice="10.4566 0.0000 0.0000 0.0000 10.4566 0.0000 0.0000 0.0000 4.5825" Properties=species:S:1:pos:R:3 pbc="T T T"
Li 1.2050 4.0233 0.0000
Li 4.0233 9.2516 0.0000
Li 6.4332 1.2050 0.0000
Li 9.2516 6.4332 0.0000
La 1.8770 7.1053 0.0000
La 3.3513 1.8770 0.0000
La 7.1053 8.5796 0.0000
La 8.5796 3.3513 0.0000
Dy 0.0000 0.0000 0.0000
Dy 5.2283 5.2283 0.0000
In 0.0000 5.2283 2.2912
In 0.6805 2.2094 2.2912
In 2.2094 9.7761 2.2912
In 3.0189 4.5478 2.2912
In 4.5478 7.4376 2.2912
In 5.2283 0.0000 2.2912
In 5.9088 3.0189 2.2912
In 7.4376 5.9088 2.2912
In 8.2472 0.6805 2.2912
In 9.7761 8.2472 2.2912
```

***

Starting from the GGA-PBE geometry in Alexandria, the powder X-ray diffraction pattern of Sr3SI3 was calculated for Cu Kα X-rays.

Most intense lines, 10° ≤ 2θ ≤ 90°, most intense first:
two_theta  d (Å)  I/Imax
27.87  3.202  100
39.82  2.264  72
65.15  1.432  29
26.03  3.423  28
49.30  1.848  25
72.29  1.307  21
32.80  2.730  15
16.96  5.228  12
52.51  1.743  12
57.58  1.601  11

```
28
Lattice="-6.4031 6.4031 6.4031 6.4031 -6.4031 6.4031 6.4031 6.4031 -6.4031" Properties=species:S:1:pos:R:3 pbc="T T T"
Sr 1.7828 1.6008 -1.4188
Sr 7.8219 1.7828 -1.6008
Sr 1.6008 -1.4188 1.7828
Sr 4.9844 4.6203 -1.6008
Sr 4.6203 1.6008 1.4188
Sr -1.4188 1.7828 1.6008
Sr 4.6203 -1.6008 4.9844
Sr 1.6008 1.4188 4.6203
Sr 1.4188 4.6203 1.6008
Sr 1.7828 -1.6008 7.8219
Sr -1.6008 7.8219 1.7828
Sr -1.6008 4.9844 4.6203
S 4.8024 1.6008 -1.6008
S 1.6008 1.6008 1.6008
S 1.6008 -1.6008 4.8024
S -1.6008 4.8024 1.6008
I 8.0039 1.5269 1.6747
I 8.0039 -1.5269 4.7285
I 4.7285 8.0039 -1.5269
I 4.8763 1.6747 4.8024
I 4.8024 4.8763 1.6747
I 1.6747 8.0039 1.5269
I 7.9300 4.7285 4.8024
I 1.6747 4.8024 4.8763
I 1.5269 1.6747 8.0039
I 4.8024 7.9300 4.7285
I -1.5269 4.7285 8.0039
I 4.7285 4.8024 7.9300
```

***

Starting from the GGA-PBE geometry in Alexandria, the powder X-ray diffraction pattern of Ac2SnSe2O2 was calculated for Cu Kα X-rays.

Most intense lines, 10° ≤ 2θ ≤ 90°, most intense first:
two_theta  d (Å)  I/Imax
28.72  3.108  100
28.22  3.163  62
33.56  2.670  62
46.92  1.936  27
43.11  2.098  23
52.32  1.749  23
24.28  3.666  23
32.58  2.749  21
27.51  3.242  20
23.63  3.764  19

```
7
Lattice="6.3629 -2.0985 0.0000 6.3629 2.0985 0.0000 -3.8900 0.0000 6.4841" Properties=species:S:1:pos:R:3 pbc="T T T"
Ac 1.4951 0.0000 1.5834
Ac 7.3406 0.0000 4.9007
Sn -1.9450 0.0000 3.2420
Se 4.8806 0.0000 1.0848
Se 3.9551 0.0000 5.3993
O 0.4143 0.0000 3.8186
O 8.4214 0.0000 2.6655
```

***

Starting from the GGA-PBE geometry in Alexandria, the powder X-ray diffraction pattern of Ac2Np2S7 was calculated for Cu Kα X-rays.

Most intense lines, 10° ≤ 2θ ≤ 90°, most intense first:
two_theta  d (Å)  I/Imax
22.87  3.888  100
37.78  2.381  61
44.63  2.031  53
26.47  3.367  30
59.87  1.545  23
68.22  1.375  19
85.26  1.138  18
73.00  1.296  17
61.59  1.506  16
46.73  1.944  11

```
22
Lattice="0.0000 6.7345 6.7345 6.7345 0.0000 6.7345 6.7345 6.7345 0.0000" Properties=species:S:1:pos:R:3 pbc="T T T"
Ac 0.0000 0.0000 0.0000
Ac 3.3672 3.3672 0.0000
Ac 3.3672 0.0000 3.3672
Ac 0.0000 3.3672 3.3672
Np 6.7345 3.3672 3.3672
Np 3.3672 6.7345 3.3672
Np 3.3672 3.3672 6.7345
Np 6.7345 6.7345 6.7345
S 1.6836 1.6836 1.6836
S 5.0509 5.0509 2.1312
S 5.0509 2.1312 5.0509
S 7.9705 5.0509 5.0509
S 8.4181 8.4181 5.4984
S 8.4181 5.4984 8.4181
S 11.3378 8.4181 8.4181
S 2.1312 5.0509 5.0509
S 5.0509 7.9705 5.0509
S 5.0509 5.0509 7.9705
S 5.4984 8.4181 8.4181
S 8.4181 11.3378 8.4181
S 8.4181 8.4181 11.3378
S 11.7853 11.7853 11.7853
```

***

Starting from the GGA-PBE geometry in Alexandria, the powder X-ray diffraction pattern of Sm6CdPt was calculated for Cu Kα X-rays.

Most intense lines, 10° ≤ 2θ ≤ 90°, most intense first:
two_theta  d (Å)  I/Imax
28.64  3.117  100
28.73  3.107  68
29.02  3.077  50
37.95  2.371  39
23.63  3.766  39
38.18  2.357  38
28.84  3.096  34
30.52  2.929  30
28.29  3.154  28
44.18  2.050  28

```
8
Lattice="7.1002 0.0000 0.0000 -3.5231 6.1994 0.0000 -3.4799 -2.0630 6.3085" Properties=species:S:1:pos:R:3 pbc="T T T"
Sm -0.9193 -0.0643 1.5912
Sm -1.3280 3.9426 1.5821
Sm -2.2598 1.7928 4.7264
Sm 2.3571 2.3436 1.5821
Sm 1.4252 0.1939 4.7264
Sm 1.0165 4.2007 4.7173
Cd 3.5501 0.0000 0.0000
Pt 0.0486 2.0682 3.1543
```

***

Starting from the GGA-PBE geometry in Alexandria, the powder X-ray diffraction pattern of Ce3Zn4Cd4 was calculated for Cu Kα X-rays.

Most intense lines, 10° ≤ 2θ ≤ 90°, most intense first:
two_theta  d (Å)  I/Imax
36.05  2.491  100
35.06  2.559  47
37.82  2.379  44
31.97  2.799  36
38.03  2.366  19
67.14  1.394  16
58.01  1.590  14
54.71  1.678  13
28.29  3.155  13
42.09  2.147  12

```
11
Lattice="9.4647 0.0000 0.0000 0.0000 2.3789 5.5791 0.0000 -2.3789 5.5791" Properties=species:S:1:pos:R:3 pbc="T T T"
Ce 0.0000 0.0000 0.0000
Ce 2.7517 0.0000 1.8956
Ce 6.7131 0.0000 1.8956
Zn 0.0000 0.0000 7.5595
Zn 1.9664 0.0000 5.4434
Zn 4.7324 0.0000 7.7833
Zn 7.4983 0.0000 5.4434
Cd 0.0000 0.0000 3.4163
Cd 2.8816 0.0000 9.7505
Cd 4.7324 0.0000 5.0091
Cd 6.5831 0.0000 9.7505
```

***

Please write out number 8 again, unchanged.
Starting from the GGA-PBE geometry in Alexandria, the powder X-ray diffraction pattern of Ce3Zn4Cd4 was calculated for Cu Kα X-rays.

Most intense lines, 10° ≤ 2θ ≤ 90°, most intense first:
two_theta  d (Å)  I/Imax
36.05  2.491  100
35.06  2.559  47
37.82  2.379  44
31.97  2.799  36
38.03  2.366  19
67.14  1.394  16
58.01  1.590  14
54.71  1.678  13
28.29  3.155  13
42.09  2.147  12

```
11
Lattice="9.4647 0.0000 0.0000 0.0000 2.3789 5.5791 0.0000 -2.3789 5.5791" Properties=species:S:1:pos:R:3 pbc="T T T"
Ce 0.0000 0.0000 0.0000
Ce 2.7517 0.0000 1.8956
Ce 6.7131 0.0000 1.8956
Zn 0.0000 0.0000 7.5595
Zn 1.9664 0.0000 5.4434
Zn 4.7324 0.0000 7.7833
Zn 7.4983 0.0000 5.4434
Cd 0.0000 0.0000 3.4163
Cd 2.8816 0.0000 9.7505
Cd 4.7324 0.0000 5.0091
Cd 6.5831 0.0000 9.7505
```